[1]
Structure and theoretical powder X-ray diffraction pattern of Na2U2O7 (DFT lattice parameters and positions (GGA-PBE); λ = 1.5418 Å (Cu Kα)).
Lines closer than 0.1° are merged.

Peak list (10 most intense, 5 to 70 degrees two-theta, in order of rising 2θ)
(hkl)  d_spacing  2θ (°)  I/Imax
1 0 0  6.155  14.39  100
1 0 -2  3.412  26.12  22
0 2 1  3.384  26.33  50
0 0 2  3.248  27.46  27
1 2 -1  3.226  27.65  58
2 0 0  3.078  29.01  26
1 2 1  2.759  32.45  27
1 2 -3  1.999  45.38  18
2 2 -3  1.901  47.85  15
1 2 3  1.676  54.77  15

Cell and atoms:
a = 6.577 Å, b = 7.929 Å, c = 6.942 Å
α = 90.00°, β = 110.63°, γ = 90.00°
Space group P2_1 (No. 4)
Unique sites:
1 Na 0.006 0.000 0.497 (multiplicity 2)
2 Na 0.036 0.246 0.002 (multiplicity 2)
3 U 0.498 0.264 0.484 (multiplicity 2)
4 U 0.499 0.511 0.032 (multiplicity 2)
5 O 0.191 0.267 0.383 (multiplicity 2)
6 O 0.192 0.523 0.929 (multiplicity 2)
7 O 0.194 0.752 0.420 (multiplicity 2)
8 O 0.198 0.012 0.863 (multiplicity 2)
9 O 0.477 0.241 0.152 (multiplicity 2)
10 O 0.487 0.021 0.632 (multiplicity 2)
11 O 0.499 0.357 0.777 (multiplicity 2)

---

[2]
Structure and theoretical powder X-ray diffraction pattern of CaCeHg2 (DFT lattice parameters and positions (GGA-PBE); λ = 1.5418 Å (Cu Kα)).
Lines closer than 0.1° are merged.

Peak list (10 most intense, 5 to 70 degrees two-theta, in order of rising 2θ)
(hkl)  d_spacing  2θ (°)  I/Imax
0 1 -1  3.115  28.66  57
1 0 -1  3.030  29.48  53
1 -1 0  2.991  29.87  51
1 2 1  2.961  30.18  100
2 1 1  2.935  30.46  49
2 2 0  2.148  42.06  20
2 0 2  2.124  42.57  20
0 2 2  2.087  43.36  19
1 3 0  1.767  51.75  34
3 1 0  1.725  53.09  21

Cell and atoms:
a = 5.872 Å, b = 5.926 Å, c = 5.938 Å
α = 63.35°, β = 61.83°, γ = 60.97°
Space group P-1 (No. 2)
Unique sites:
1 Ca 0.000 0.000 0.000 (multiplicity 1)
2 Ce 0.500 0.500 0.500 (multiplicity 1)
3 Hg 0.250 0.250 0.250 (multiplicity 2)

---

[3]
Structure and theoretical powder X-ray diffraction pattern of Fe13Co3 (DFT lattice parameters and positions (GGA-PBE); λ = 1.5418 Å (Cu Kα)).
Lines closer than 0.1° are merged.

Peak list (2 most intense, 5 to 70 degrees two-theta, in order of rising 2θ)
(hkl)  d_spacing  2θ (°)  I/Imax
2 2 0  2.020  44.87  100
4 0 0  1.428  65.33  15

Cell and atoms:
a = 5.713 Å, b = 5.713 Å, c = 5.712 Å
α = 90.00°, β = 90.00°, γ = 90.00°
Space group P4/mmm (No. 123)
Unique sites:
1 Fe 0.000 0.000 0.000 (multiplicity 1)
2 Fe 0.000 0.500 0.000 (multiplicity 2)
3 Fe 0.000 0.500 0.500 (multiplicity 2)
4 Fe 0.250 0.250 0.250 (multiplicity 8)
5 Co 0.000 0.000 0.500 (multiplicity 1)
6 Co 0.500 0.500 0.000 (multiplicity 1)
7 Co 0.500 0.500 0.500 (multiplicity 1)

---

[4]
Structure and theoretical powder X-ray diffraction pattern of K2LiSe2 (DFT lattice parameters and positions (GGA-PBE); λ = 1.5418 Å (Cu Kα)).
Lines closer than 0.1° are merged.

Peak list (10 most intense, 5 to 70 degrees two-theta, in order of rising 2θ)
(hkl)  d_spacing  2θ (°)  I/Imax
0 0 1  16.154  5.47  94
0 0 2  8.077  10.95  42
0 0 4  4.039  22.01  34
1 0 0  3.427  26.00  100
1 0 2  3.155  28.29  18
1 0 4  2.613  34.32  42
1 1 0  2.424  37.09  38
1 0 6  2.117  42.71  33
1 1 4  2.078  43.55  21
1 1 6  1.801  50.68  20

Cell and atoms:
a = 3.427 Å, b = 3.427 Å, c = 16.154 Å
α = 90.00°, β = 90.00°, γ = 90.00°
Space group P4/mmm (No. 123)
Unique sites:
1 K 0.000 0.000 0.170 (multiplicity 2)
2 Li 0.000 0.000 0.500 (multiplicity 1)
3 Se 0.000 0.000 0.353 (multiplicity 2)

---

[5]
Structure and theoretical powder X-ray diffraction pattern of MgBi4O8 (DFT lattice parameters and positions (GGA-PBE); λ = 1.5418 Å (Cu Kα)).
Lines closer than 0.1° are merged.

Peak list (10 most intense, 5 to 70 degrees two-theta, in order of rising 2θ)
(hkl)  d_spacing  2θ (°)  I/Imax
0 0 1  9.387  9.42  19
2 0 -1  6.661  13.29  20
2 0 -2  4.995  17.76  71
0 0 3  3.129  28.53  22
2 0 2  3.070  29.09  22
4 0 0  3.000  29.78  100
4 0 -3  2.963  30.16  23
1 1 -2  2.880  31.05  22
3 1 -1  2.735  32.74  39
3 1 -4  2.087  43.36  29

Cell and atoms:
a = 13.579 Å, b = 3.435 Å, c = 10.607 Å
α = 90.00°, β = 117.74°, γ = 90.00°
Space group Cm (No. 8)
Unique sites:
1 Mg 0.000 0.000 0.000 (multiplicity 2)
2 Bi 0.176 0.500 0.925 (multiplicity 2)
3 Bi 0.187 0.000 0.335 (multiplicity 2)
4 Bi 0.428 0.000 0.234 (multiplicity 2)
5 Bi 0.435 0.500 0.620 (multiplicity 2)
6 O 0.001 0.500 0.865 (multiplicity 2)
7 O 0.036 0.000 0.358 (multiplicity 2)
8 O 0.046 0.500 0.150 (multiplicity 2)
9 O 0.149 0.000 0.782 (multiplicity 2)
10 O 0.179 0.000 0.062 (multiplicity 2)
11 O 0.247 0.500 0.487 (multiplicity 2)
12 O 0.354 0.500 0.030 (multiplicity 2)
13 O 0.425 0.000 0.487 (multiplicity 2)